1.
Simulated X-ray diffraction stick pattern
Compound: Zr3Te
Radiation: λ = 1.5418 Å (Cu Kα)
Structure: a crystal structure in Alexandria, relaxed with PBE
No peak broadening, texture or thermal motion is included.

Largest 12 diffraction maxima, by intensity, 10 to 90 degrees two-theta:
36.31°, I = 100
32.53°, I = 93
33.07°, I = 78
33.66°, I = 77
38.55°, I = 76
35.54°, I = 67
40.73°, I = 62
40.23°, I = 48
66.99°, I = 34
38.93°, I = 32
35.90°, I = 30
22.04°, I = 28

Cell and atoms:
```
data_Zr3Te
_symmetry_space_group_name_H-M 'P 42/n'
_symmetry_Int_Tables_number 86
_cell_length_a 11.297
_cell_length_b 11.297
_cell_length_c 5.759
_cell_angle_alpha 90.00
_cell_angle_beta 90.00
_cell_angle_gamma 90.00
loop_
_symmetry_equiv_pos_as_xyz
'x,y,z'
'-x,-y,-z'
'-y,x+1/2,z+1/2'
'y,-x+1/2,-z+1/2'
'-x+1/2,-y+1/2,z'
'x+1/2,y+1/2,-z'
'y+1/2,-x,z+1/2'
'-y+1/2,x,-z+1/2'
loop_
_atom_site_label
_atom_site_fract_x
_atom_site_fract_y
_atom_site_fract_z
Zr1 0.035 0.936 0.239
Zr2 0.104 0.273 0.040
Zr3 0.150 0.833 0.706
Te1 0.045 0.285 0.541
```


2.
Simulated X-ray diffraction stick pattern
Compound: Pu2Zn3Ga4Pd
Radiation: λ = 1.5418 Å (Cu Kα)
Structure: a crystal structure in Alexandria, relaxed with PBE
No peak broadening, texture or thermal motion is included.

Largest 12 diffraction maxima, by intensity, 10 to 90 degrees two-theta:
34.50°, I = 100
33.05°, I = 64
42.90°, I = 47
47.97°, I = 31
55.19°, I = 30
22.69°, I = 25
66.29°, I = 23
73.18°, I = 23
29.97°, I = 19
62.28°, I = 15
60.88°, I = 13
86.70°, I = 11

Cell and atoms:
```
data_Pu2Zn3Ga4Pd
_symmetry_space_group_name_H-M 'P -4 m 2'
_symmetry_Int_Tables_number 115
_cell_length_a 4.217
_cell_length_b 4.217
_cell_length_c 10.616
_cell_angle_alpha 90.00
_cell_angle_beta 90.00
_cell_angle_gamma 90.00
loop_
_symmetry_equiv_pos_as_xyz
'x,y,z'
'y,-x,-z'
'-x,-y,z'
'-y,x,-z'
'-x,y,z'
'-y,-x,-z'
'x,-y,z'
'y,x,-z'
loop_
_atom_site_label
_atom_site_fract_x
_atom_site_fract_y
_atom_site_fract_z
Pu1 0.000 0.500 0.248
Zn1 0.000 0.000 0.000
Zn2 0.000 0.500 0.636
Ga1 0.000 0.000 0.500
Ga2 0.000 0.500 0.865
Ga3 0.500 0.500 0.500
Pd1 0.500 0.500 0.000
```


3.
Simulated X-ray diffraction stick pattern
Compound: Pm3Sm2Y
Radiation: λ = 1.5418 Å (Cu Kα)
Structure: a crystal structure in Alexandria, relaxed with PBE
No peak broadening, texture or thermal motion is included.

Largest 12 diffraction maxima, by intensity, 10 to 90 degrees two-theta:
31.00°, I = 100
30.28°, I = 85
31.59°, I = 49
32.04°, I = 40
45.61°, I = 30
60.93°, I = 29
35.84°, I = 22
55.89°, I = 19
56.90°, I = 16
55.45°, I = 15
61.28°, I = 15
42.11°, I = 14

Cell and atoms:
```
data_Pm3Sm2Y
_symmetry_space_group_name_H-M 'C m c m'
_symmetry_Int_Tables_number 63
_symmetry_space_group_name_Hall '-C 2c 2'
_cell_length_a 10.736
_cell_length_b 13.408
_cell_length_c 5.665
_cell_angle_alpha 90.00
_cell_angle_beta 90.00
_cell_angle_gamma 90.00
loop_
_atom_site_label
_atom_site_fract_x
_atom_site_fract_y
_atom_site_fract_z
Pm1 0.000 0.064 0.250
Pm2 0.166 0.179 0.750
Sm1 0.166 0.438 0.750
Y1 0.000 0.323 0.250
```


4.
Simulated X-ray diffraction stick pattern
Compound: Pr5Cd2Si2
Radiation: λ = 1.5418 Å (Cu Kα)
Structure: a crystal structure in Alexandria, relaxed with PBE
No peak broadening, texture or thermal motion is included.

Largest 12 diffraction maxima, by intensity, 10 to 90 degrees two-theta:
31.12°, I = 100
31.19°, I = 73
32.23°, I = 51
36.56°, I = 44
33.25°, I = 36
29.99°, I = 30
62.15°, I = 27
25.88°, I = 25
25.37°, I = 24
56.75°, I = 24
43.03°, I = 18
36.98°, I = 17

Cell and atoms:
```
data_Pr5Cd2Si2
_symmetry_space_group_name_H-M 'C m c e'
_symmetry_Int_Tables_number 64
_symmetry_space_group_name_Hall '-C 2ac 2'
_cell_length_a 16.816
_cell_length_b 7.844
_cell_length_c 7.870
_cell_angle_alpha 90.00
_cell_angle_beta 90.00
_cell_angle_gamma 90.00
loop_
_atom_site_label
_atom_site_fract_x
_atom_site_fract_y
_atom_site_fract_z
Pr1 0.000 0.000 0.000
Pr2 0.125 0.188 0.317
Cd1 0.223 0.000 0.000
Si1 0.000 0.110 0.612
```